Starting from DFT lattice parameters and positions (GGA-PBE), the powder diffractogram of LiIn5Rh4 was simulated for Cu Kα (weighted mean of Kα1 and Kα2).
Intensities are scaled so that the largest is 100.

Principal peaks in the range 2θ = 15–90°, by intensity:
- hkl 1 0 5, 39.5 deg, rel. 100
- hkl 1 1 0, 38.9 deg, rel. 52
- hkl 2 1 5, 70.8 deg, rel. 34
- hkl 2 0 0, 56.2 deg, rel. 17
- hkl 1 1 10, 72.0 deg, rel. 16
- hkl 2 0 10, 85.0 deg, rel. 11

Atomic structure:
```
10
Lattice="3.274 0.000 0.000 0.000 3.274 0.000 0.000 0.000 15.929" Properties=species:S:1:pos:R:3 pbc="T T T"
Li 0.000 0.000 0.000
In 1.637 1.637 1.587
In 1.637 1.637 4.761
In 1.637 1.637 7.965
In 1.637 1.637 11.169
In 1.637 1.637 14.343
Rh 0.000 0.000 3.165
Rh 0.000 0.000 6.375
Rh 0.000 0.000 9.554
Rh 0.000 0.000 12.765
```